BaMo2P2O12: simulated powder XRD pattern (λ = 1.5418 Å (Cu Kα)), based on a DFT-relaxed cell (PBE+U, Alexandria).

Structure:
Unit cell a=6.478 b=7.327 c=10.214 alpha=90.00 beta=94.89 gamma=90.00
Space group P2_1/c (No. 14)
Symmetry-distinct sites (fractional):
Ba (0.000, 0.000, 0.000) x2
Mo (0.269, 0.030, 0.673) x4
P (0.237, 0.060, 0.345) x4
O (0.047, 0.570, 0.819) x4
O (0.223, 0.166, 0.474) x4
O (0.230, 0.682, 0.100) x4
O (0.245, 0.183, 0.222) x4
O (0.308, 0.526, 0.339) x4
O (0.434, 0.564, 0.854) x4

Largest 8 diffraction maxima, sorted by position, 2θ from 10° to 90°:
2theta, I_rel
13.7, 25
20.8, 95
21.3, 35
24.3, 73
29.0, 100
30.9, 50
40.7, 23
47.3, 21